[1]
BaGe12Pd4: computed powder X-ray diffraction pattern (Cu Kα (λ = 1.5418 Å)), based on the PBE geometry in Alexandria.
Peak positions follow from Bragg's law for the DFT cell and can differ from measured ones.

```
BaGe12Pd4
1.0
-4.399 4.399 4.399
4.399 -4.399 4.399
4.399 4.399 -4.399
Ba Ge Pd
1 12 4
Direct
0.000 0.000 0.000
0.153 0.357 0.510
0.153 0.643 0.796
0.204 0.847 0.357
0.357 0.204 0.847
0.357 0.510 0.153
0.490 0.847 0.643
0.510 0.153 0.357
0.643 0.490 0.847
0.643 0.796 0.153
0.796 0.153 0.643
0.847 0.357 0.204
0.847 0.643 0.490
0.000 0.000 0.500
0.000 0.500 0.000
0.500 0.000 0.000
0.500 0.500 0.500
```

Top 10 peaks for 2θ from 5° to 70°, by intensity:
Position (°2θ), d (Å), Rel. int.
32.17, 2.782, 100
50.84, 1.796, 47
53.07, 1.726, 42
38.27, 2.352, 42
28.70, 3.111, 39
46.14, 1.967, 38
67.30, 1.391, 16
20.18, 4.399, 8
41.03, 2.200, 5
35.34, 2.540, 5

=====

[2]
Ba2Ge5Pd: computed powder X-ray diffraction pattern (Cu Kα (λ = 1.5418 Å)), based on the PBE geometry in Alexandria.
Peak positions follow from Bragg's law for the DFT cell and can differ from measured ones.

```
Ba2Ge5Pd
1.0
6.213 0.000 0.000
0.000 6.213 0.000
0.000 0.000 11.114
Ba Ge Pd
4 10 2
Direct
0.000 0.500 0.000
0.000 0.500 0.500
0.500 0.000 0.000
0.500 0.000 0.500
0.000 0.000 0.092
0.215 0.215 0.259
0.215 0.785 0.259
0.285 0.285 0.759
0.285 0.715 0.759
0.500 0.500 0.592
0.715 0.285 0.759
0.715 0.715 0.759
0.785 0.215 0.259
0.785 0.785 0.259
0.000 0.000 0.722
0.500 0.500 0.222
```

Top 10 peaks for 2θ from 5° to 70°, by intensity:
Position (°2θ), d (Å), Rel. int.
25.85, 3.446, 100
33.03, 2.712, 93
41.09, 2.197, 52
32.22, 2.778, 37
53.15, 1.723, 29
49.18, 1.852, 26
69.77, 1.348, 25
40.58, 2.223, 24
53.70, 1.707, 16
59.51, 1.553, 15

=====

[3]
Ba2Ge3Pd12Pt: computed powder X-ray diffraction pattern (Cu Kα (λ = 1.5418 Å)), based on the PBE geometry in Alexandria.
Peak positions follow from Bragg's law for the DFT cell and can differ from measured ones.

```
Ba2Ge3Pd12Pt
1.0
4.239 2.448 6.366
-4.239 2.448 6.366
0.000 -4.895 6.366
Ba Ge Pd Pt
2 3 12 1
Direct
0.114 0.114 0.114
0.886 0.886 0.886
0.000 0.500 0.500
0.500 0.000 0.500
0.500 0.500 0.000
0.126 0.625 0.625
0.149 0.149 0.591
0.149 0.591 0.149
0.375 0.375 0.874
0.375 0.874 0.375
0.409 0.851 0.851
0.591 0.149 0.149
0.625 0.126 0.625
0.625 0.625 0.126
0.851 0.409 0.851
0.851 0.851 0.409
0.874 0.375 0.375
0.500 0.500 0.500
```

Top 10 peaks for 2θ from 5° to 70°, by intensity:
Position (°2θ), d (Å), Rel. int.
42.66, 2.120, 100
30.72, 2.910, 84
45.31, 2.001, 84
25.24, 3.528, 36
26.30, 3.389, 33
63.98, 1.455, 26
26.00, 3.427, 18
39.44, 2.285, 16
33.63, 2.665, 14
53.48, 1.713, 14

=====

[4]
Ba2ZnGePd6: computed powder X-ray diffraction pattern (Cu Kα (λ = 1.5418 Å)), based on the PBE geometry in Alexandria.
Peak positions follow from Bragg's law for the DFT cell and can differ from measured ones.

```
Ba2ZnGePd6
1.0
5.757 0.000 0.000
2.875 6.158 0.000
2.866 0.727 6.318
Ba Zn Ge Pd
2 1 1 6
Direct
0.242 0.211 0.305
0.758 0.789 0.695
0.500 0.500 0.500
0.000 0.000 0.000
0.234 0.261 0.783
0.251 0.615 0.884
0.278 0.739 0.217
0.722 0.261 0.783
0.749 0.385 0.116
0.766 0.739 0.217
```

Top 10 peaks for 2θ from 5° to 70°, by intensity:
Position (°2θ), d (Å), Rel. int.
36.67, 2.451, 100
38.00, 2.368, 96
38.56, 2.335, 76
27.88, 3.200, 58
29.19, 3.059, 40
28.36, 3.147, 39
28.25, 3.159, 33
41.46, 2.178, 33
55.80, 1.648, 32
40.42, 2.232, 31

=====

Repeat the second record exactly.
Ba2Ge5Pd: computed powder X-ray diffraction pattern (Cu Kα (λ = 1.5418 Å)), based on the PBE geometry in Alexandria.
Peak positions follow from Bragg's law for the DFT cell and can differ from measured ones.

```
Ba2Ge5Pd
1.0
6.213 0.000 0.000
0.000 6.213 0.000
0.000 0.000 11.114
Ba Ge Pd
4 10 2
Direct
0.000 0.500 0.000
0.000 0.500 0.500
0.500 0.000 0.000
0.500 0.000 0.500
0.000 0.000 0.092
0.215 0.215 0.259
0.215 0.785 0.259
0.285 0.285 0.759
0.285 0.715 0.759
0.500 0.500 0.592
0.715 0.285 0.759
0.715 0.715 0.759
0.785 0.215 0.259
0.785 0.785 0.259
0.000 0.000 0.722
0.500 0.500 0.222
```

Top 10 peaks for 2θ from 5° to 70°, by intensity:
Position (°2θ), d (Å), Rel. int.
25.85, 3.446, 100
33.03, 2.712, 93
41.09, 2.197, 52
32.22, 2.778, 37
53.15, 1.723, 29
49.18, 1.852, 26
69.77, 1.348, 25
40.58, 2.223, 24
53.70, 1.707, 16
59.51, 1.553, 15